(1)
Diffraction record for Si. The X-ray diffraction stick pattern is computed, not measured: it uses a structure optimized by DFT (PBE) and CuKα.

Structure:
Cell: 8.7504 5.1547 5.1831 Å, 90.00 90.00 90.00°
Space group Cmce (No. 64)
Symmetry-distinct sites (fractional):
Si 0.0000 0.1556 0.1741 x8
Si 0.2057 0.0000 0.5000 x8

Top 8 peaks for 2θ = 5–70°, low angle first:
- hkl 0 2 1, 2θ = 39.03°, intensity 35.4
- hkl 3 1 1, 2θ = 39.53°, intensity 100.0
- hkl 1 1 2, 2θ = 40.29°, intensity 43.4
- hkl 2 0 2, 2θ = 40.45°, intensity 95.6
- hkl 2 2 0, 2θ = 40.63°, intensity 69.4
- hkl 4 0 0, 2θ = 41.27°, intensity 45.9
- hkl 2 2 1, 2θ = 44.38°, intensity 48.1
- hkl 0 2 2, 2θ = 49.90°, intensity 36.7

(2)
Diffraction record for DyScS3. The X-ray diffraction stick pattern is computed, not measured: it uses a structure optimized by DFT (PBE) and CuKα.

Structure:
Cell: 7.0021 9.5594 6.3650 Å, 90.00 90.00 90.00°
Space group Pnma (No. 62)
Symmetry-distinct sites (fractional):
Dy 0.1042 0.2500 0.0419 x4
Sc 0.0000 0.0000 0.5000 x4
S 0.0465 0.7500 0.3554 x4
S 0.1826 0.5708 0.8266 x8

Top 8 peaks for 2θ = 5–70°, low angle first:
- hkl 0 2 0, 2θ = 18.56°, intensity 32.3
- hkl 1 1 1, 2θ = 21.03°, intensity 69.1
- hkl 1 2 1, 2θ = 26.57°, intensity 100.0
- hkl 1 1 2, 2θ = 32.29°, intensity 34.0
- hkl 1 3 1, 2θ = 33.97°, intensity 43.8
- hkl 2 3 0, 2θ = 38.20°, intensity 42.8
- hkl 2 1 2, 2θ = 39.41°, intensity 40.6
- hkl 3 1 1, 2θ = 42.33°, intensity 43.6

(3)
Diffraction record for KSbF4. The X-ray diffraction stick pattern is computed, not measured: it uses a structure optimized by DFT (PBE) and CuKα.

Structure:
Cell: 11.8201 16.6922 4.6460 Å, 90.00 90.00 90.00°
Space group Pmmn (No. 59, origin choice 2)
Symmetry-distinct sites (fractional):
K 0.0000 0.0000 0.0000 x4
K 0.2500 0.1341 0.4340 x4
Sb 0.0025 0.2500 0.9870 x4
Sb 0.2500 0.5930 0.5702 x4
F 0.0756 0.2500 0.3731 x4
F 0.1013 0.6535 0.7933 x8
F 0.1174 0.1595 0.9229 x8
F 0.1321 0.5065 0.4864 x8
F 0.2500 0.5415 0.9533 x4

Top 8 peaks for 2θ = 5–70°, low angle first:
- hkl 1 3 0, 2θ = 17.62°, intensity 40.9
- hkl 2 2 0, 2θ = 18.39°, intensity 59.6
- hkl 0 2 1, 2θ = 21.90°, intensity 32.2
- hkl 2 0 1, 2θ = 24.37°, intensity 100.0
- hkl 2 4 0, 2θ = 26.13°, intensity 86.5
- hkl 0 4 1, 2θ = 28.76°, intensity 30.2
- hkl 4 4 1, 2θ = 42.22°, intensity 67.2
- hkl 2 4 2, 2θ = 47.36°, intensity 22.4

(4)
Diffraction record for ThH8C4O12. The X-ray diffraction stick pattern is computed, not measured: it uses a structure optimized by DFT (PBE) and CuKα.

Structure:
Cell: 13.9836 8.0985 10.8853 Å, 90.00 117.90 90.00°
Space group C2/c (No. 15)
Symmetry-distinct sites (fractional):
Th 0.0000 0.2305 0.2500 x4
H 0.0882 0.4887 0.1185 x8
H 0.1164 0.4241 0.7617 x8
H 0.1642 0.1774 0.8754 x8
H 0.2434 0.2492 0.1566 x8
C 0.0359 0.0642 0.9890 x8
C 0.2321 0.3063 0.5429 x8
O 0.0615 0.1918 0.0639 x8
O 0.0643 0.0291 0.8971 x8
O 0.0795 0.4758 0.2020 x8
O 0.1332 0.3488 0.4853 x8
O 0.1841 0.2684 0.8322 x8
O 0.1965 0.1533 0.3371 x8

Top 8 peaks for 2θ = 5–70°, low angle first:
- hkl 1 1 -1, 2θ = 13.93°, intensity 100.0
- hkl 2 0 0, 2θ = 14.33°, intensity 39.7
- hkl 2 0 -2, 2θ = 17.27°, intensity 25.5
- hkl 1 1 1, 2θ = 17.84°, intensity 38.6
- hkl 0 2 0, 2θ = 21.99°, intensity 35.9
- hkl 3 1 -3, 2θ = 28.31°, intensity 18.5
- hkl 4 0 0, 2θ = 28.85°, intensity 17.0
- hkl 3 1 1, 2θ = 29.43°, intensity 21.4